# 1
Ca2CuCN2O2: computed XRD peak list (Cu Kα (weighted mean of Kα1 and Kα2)), based on the GGA-PBE geometry in Alexandria.

Cell and atoms:
Lattice parameters (Å, degrees): 3.7559 3.7559 7.8607 90.00 90.00 90.00
Sites, in units of the cell vectors:
1 Ca 0.0000 0.0000 0.2018
2 Ca 0.0000 0.0000 0.7982
3 Cu 0.5000 0.5000 0.0000
4 C 0.5000 0.5000 0.5000
5 N 0.5000 0.5000 0.3416
6 N 0.5000 0.5000 0.6584
7 O 0.0000 0.5000 0.0000
8 O 0.5000 0.0000 0.0000

The 10 most intense peaks (2θ = 15–90°), sorted by position:
| 2theta | I (rel.) |
| --- | --- |
| 32.99 | 100 |
| 33.75 | 61 |
| 42.05 | 59 |
| 48.47 | 39 |
| 49.93 | 16 |
| 59.88 | 32 |
| 66.07 | 26 |
| 70.98 | 10 |
| 79.51 | 9 |
| 80.94 | 8 |

# 2
Cu4S5I: computed XRD peak list (Cu Kα (weighted mean of Kα1 and Kα2)), based on the GGA-PBE geometry in Alexandria.

Cell and atoms:
Lattice parameters (Å, degrees): 9.1388 10.1074 4.8725 90.00 90.00 90.00
Sites, in units of the cell vectors:
1 Cu 0.0384 0.2500 0.2194
2 Cu 0.2500 0.1149 0.8789
3 Cu 0.2500 0.3851 0.8789
4 Cu 0.4616 0.2500 0.2194
5 Cu 0.5384 0.7500 0.7806
6 Cu 0.7500 0.6149 0.1211
7 Cu 0.7500 0.8851 0.1211
8 Cu 0.9616 0.7500 0.7806
9 S 0.0717 0.0317 0.1468
10 S 0.0717 0.4683 0.1468
11 S 0.2500 0.2500 0.5226
12 S 0.4283 0.0317 0.1468
13 S 0.4283 0.4683 0.1468
14 S 0.5717 0.5317 0.8532
15 S 0.5717 0.9683 0.8532
16 S 0.7500 0.7500 0.4774
17 S 0.9283 0.5317 0.8532
18 S 0.9283 0.9683 0.8532
19 I 0.2500 0.7500 0.6562
20 I 0.7500 0.2500 0.3438

The 10 most intense peaks (2θ = 15–90°), sorted by position:
| 2theta | I (rel.) |
| --- | --- |
| 17.55 | 39 |
| 20.23 | 95 |
| 22.47 | 51 |
| 25.39 | 40 |
| 28.22 | 68 |
| 32.30 | 50 |
| 34.73 | 100 |
| 43.02 | 46 |
| 45.02 | 39 |
| 48.75 | 45 |

# 3
TbDyErTm2: computed XRD peak list (Cu Kα (weighted mean of Kα1 and Kα2)), based on the GGA-PBE geometry in Alexandria.

Cell and atoms:
Lattice parameters (Å, degrees): 8.8476 8.8476 6.2834 90.00 90.00 138.40
Sites, in units of the cell vectors:
1 Tb 0.1565 0.8435 0.7500
2 Tb 0.8435 0.1565 0.2500
3 Dy 0.3437 0.6563 0.7500
4 Dy 0.6563 0.3437 0.2500
5 Er 0.2492 0.7508 0.2500
6 Er 0.7508 0.2492 0.7500
7 Tm 0.2499 0.2499 0.0000
8 Tm 0.2499 0.2499 0.5000
9 Tm 0.7501 0.7501 0.0000
10 Tm 0.7501 0.7501 0.5000

The 10 most intense peaks (2θ = 15–90°), sorted by position:
| 2theta | I (rel.) |
| --- | --- |
| 25.75 | 20 |
| 30.43 | 100 |
| 33.78 | 44 |
| 35.90 | 26 |
| 40.61 | 40 |
| 52.94 | 14 |
| 53.82 | 24 |
| 58.78 | 14 |
| 63.56 | 20 |
| 67.63 | 21 |

# 4
TiCu5Au6: computed XRD peak list (Cu Kα (weighted mean of Kα1 and Kα2)), based on the GGA-PBE geometry in Alexandria.

Cell and atoms:
Lattice parameters (Å, degrees): 4.5695 5.9486 7.1462 90.00 107.27 90.00
Sites, in units of the cell vectors:
1 Ti 0.0000 0.0000 0.0000
2 Cu 0.0000 0.5000 0.0000
3 Cu 0.2800 0.0000 0.6695
4 Cu 0.2808 0.5000 0.6686
5 Cu 0.7192 0.5000 0.3314
6 Cu 0.7200 0.0000 0.3305
7 Au 0.2141 0.2525 0.3353
8 Au 0.2141 0.7475 0.3353
9 Au 0.5000 0.2538 0.0000
10 Au 0.5000 0.7462 0.0000
11 Au 0.7859 0.2525 0.6647
12 Au 0.7859 0.7475 0.6647

The 10 most intense peaks (2θ = 15–90°), sorted by position:
| 2theta | I (rel.) |
| --- | --- |
| 27.33 | 36 |
| 28.01 | 35 |
| 30.04 | 31 |
| 39.45 | 46 |
| 39.62 | 59 |
| 41.06 | 100 |
| 41.54 | 97 |
| 72.54 | 18 |
| 73.53 | 18 |
| 76.54 | 17 |

# 5
Zr9Co2P4: computed XRD peak list (Cu Kα (weighted mean of Kα1 and Kα2)), based on the GGA-PBE geometry in Alexandria.

Cell and atoms:
Lattice parameters (Å, degrees): 12.0950 12.0950 3.6698 90.00 90.00 90.00
Sites, in units of the cell vectors:
1 Zr 0.0000 0.0000 0.0000
2 Zr 0.0958 0.4042 0.0000
3 Zr 0.1046 0.1809 0.5000
4 Zr 0.1215 0.6215 0.5000
5 Zr 0.1809 0.8954 0.5000
6 Zr 0.3191 0.3954 0.5000
7 Zr 0.3785 0.1215 0.5000
8 Zr 0.3954 0.6809 0.5000
9 Zr 0.4042 0.9042 0.0000
10 Zr 0.5000 0.5000 0.0000
11 Zr 0.5958 0.0958 0.0000
12 Zr 0.6046 0.3191 0.5000
13 Zr 0.6215 0.8785 0.5000
14 Zr 0.6809 0.6046 0.5000
15 Zr 0.8191 0.1046 0.5000
16 Zr 0.8785 0.3785 0.5000
17 Zr 0.8954 0.8191 0.5000
18 Zr 0.9042 0.5958 0.0000
19 Co 0.2502 0.2498 0.0000
20 Co 0.2498 0.7498 0.0000
21 Co 0.7502 0.2502 0.0000
22 Co 0.7498 0.7502 0.0000
23 P 0.0572 0.7750 0.0000
24 P 0.2250 0.0572 0.0000
25 P 0.2750 0.5572 0.0000
26 P 0.4428 0.2750 0.0000
27 P 0.5572 0.7250 0.0000
28 P 0.7250 0.4428 0.0000
29 P 0.7750 0.9428 0.0000
30 P 0.9428 0.2250 0.0000

The 10 most intense peaks (2θ = 15–90°), sorted by position:
| 2theta | I (rel.) |
| --- | --- |
| 32.14 | 11 |
| 33.85 | 15 |
| 36.28 | 100 |
| 37.17 | 12 |
| 37.93 | 28 |
| 38.58 | 38 |
| 42.27 | 18 |
| 49.69 | 20 |
| 61.25 | 27 |
| 64.17 | 11 |

# 6
InAg2Se3: computed XRD peak list (Cu Kα (weighted mean of Kα1 and Kα2)), based on the GGA-PBE geometry in Alexandria.

Cell and atoms:
Lattice parameters (Å, degrees): 14.2605 7.4527 13.5916 79.50 30.92 69.58
Sites, in units of the cell vectors:
1 In 0.0721 0.4279 0.0927
2 In 0.1573 0.8427 0.1779
3 In 0.4279 0.0721 0.4073
4 In 0.8427 0.1573 0.8221
5 Ag 0.2462 0.2462 0.2538
6 Ag 0.3322 0.6728 0.3350
7 Ag 0.4984 0.4984 0.5016
8 Ag 0.5899 0.9150 0.5772
9 Ag 0.6728 0.3322 0.6601
10 Ag 0.7484 0.7484 0.7516
11 Ag 0.9150 0.5899 0.9178
12 Ag 0.9962 0.9962 0.0038
13 Se 0.0473 0.2068 0.7854
14 Se 0.1251 0.6243 0.8737
15 Se 0.2068 0.0473 0.9605
16 Se 0.2895 0.4646 0.0432
17 Se 0.3763 0.8731 0.1249
18 Se 0.4646 0.2895 0.2027
19 Se 0.5460 0.6985 0.2887
20 Se 0.6243 0.1251 0.3769
21 Se 0.6985 0.5460 0.4667
22 Se 0.7833 0.9613 0.5515
23 Se 0.8731 0.3763 0.6257
24 Se 0.9613 0.7833 0.7040

The 10 most intense peaks (2θ = 15–90°), sorted by position:
| 2theta | I (rel.) |
| --- | --- |
| 25.37 | 100 |
| 42.02 | 74 |
| 49.72 | 46 |
| 60.84 | 4 |
| 60.99 | 8 |
| 67.09 | 18 |
| 76.76 | 16 |
| 76.83 | 8 |
| 82.28 | 3 |
| 82.44 | 10 |

# 7
Al2InPd8: computed XRD peak list (Cu Kα (weighted mean of Kα1 and Kα2)), based on the GGA-PBE geometry in Alexandria.

Cell and atoms:
Lattice parameters (Å, degrees): 7.3072 7.3072 7.3072 147.27 123.06 67.25
Sites, in units of the cell vectors:
1 Al 0.1911 0.1911 0.0000
2 Al 0.8089 0.8089 0.0000
3 In 0.5000 0.5000 0.0000
4 Pd 0.0551 0.3374 0.7177
5 Pd 0.1934 0.0000 0.1934
6 Pd 0.3492 0.8492 0.5000
7 Pd 0.3803 0.6626 0.7177
8 Pd 0.6197 0.3374 0.2823
9 Pd 0.6508 0.1508 0.5000
10 Pd 0.8066 0.0000 0.8066
11 Pd 0.9449 0.6626 0.2823

The 10 most intense peaks (2θ = 15–90°), sorted by position:
| 2theta | I (rel.) |
| --- | --- |
| 29.16 | 19 |
| 39.02 | 23 |
| 39.50 | 18 |
| 40.56 | 100 |
| 43.98 | 24 |
| 44.68 | 21 |
| 60.59 | 10 |
| 64.50 | 13 |
| 78.53 | 14 |
| 79.53 | 10 |

Please write out number 4 again, unchanged.
TiCu5Au6: computed XRD peak list (Cu Kα (weighted mean of Kα1 and Kα2)), based on the GGA-PBE geometry in Alexandria.

Cell and atoms:
Lattice parameters (Å, degrees): 4.5695 5.9486 7.1462 90.00 107.27 90.00
Sites, in units of the cell vectors:
1 Ti 0.0000 0.0000 0.0000
2 Cu 0.0000 0.5000 0.0000
3 Cu 0.2800 0.0000 0.6695
4 Cu 0.2808 0.5000 0.6686
5 Cu 0.7192 0.5000 0.3314
6 Cu 0.7200 0.0000 0.3305
7 Au 0.2141 0.2525 0.3353
8 Au 0.2141 0.7475 0.3353
9 Au 0.5000 0.2538 0.0000
10 Au 0.5000 0.7462 0.0000
11 Au 0.7859 0.2525 0.6647
12 Au 0.7859 0.7475 0.6647

The 10 most intense peaks (2θ = 15–90°), sorted by position:
| 2theta | I (rel.) |
| --- | --- |
| 27.33 | 36 |
| 28.01 | 35 |
| 30.04 | 31 |
| 39.45 | 46 |
| 39.62 | 59 |
| 41.06 | 100 |
| 41.54 | 97 |
| 72.54 | 18 |
| 73.53 | 18 |
| 76.54 | 17 |

Q: What is the formula in the seventh record?
A: Al2InPd8